For MnBiCl6, a DFT-relaxed cell (PBE, Alexandria) gives the theoretical X-ray diffraction stick pattern in this record (λ = 1.5418 Å (Cu Kα)).
Intensities are scaled so that the largest is 100.

Peak list (10 most intense, 2θ from 10° to 90°, sorted by position)
h k l  2θ (°)  intensity
1 1 0  13.4  100
0 2 1  20.4  15
3 0 0  23.4  8
2 0 2  30.8  9
1 3 1  31.2  22
1 2 2  33.7  14
3 1 2  39.0  21
3 3 0  41.0  7
2 3 2  43.7  6
5 2 0  49.8  7

Structure:
```
data_MnBiCl6
_symmetry_space_group_name_H-M 'R -3 m'
_symmetry_Int_Tables_number 166
_symmetry_space_group_name_Hall '-R 3 2"'
_cell_length_a 13.1933
_cell_length_b 13.1933
_cell_length_c 6.7413
_cell_angle_alpha 90.00
_cell_angle_beta 90.00
_cell_angle_gamma 120.00
loop_
_atom_site_label
_atom_site_fract_x
_atom_site_fract_y
_atom_site_fract_z
_atom_site_occupancy
Mn1 0.0000 0.0000 0.0000 1
Bi1 0.0000 0.0000 0.5000 1
Cl1 0.0849 0.1698 0.7871 1
```

For CeTmAgS4, a DFT-relaxed cell (PBE, Alexandria) gives the theoretical X-ray diffraction stick pattern in this record (λ = 1.5418 Å (Cu Kα)).
Intensities are scaled so that the largest is 100.

Peak list (10 most intense, 2θ from 10° to 90°, sorted by position)
h k l  2θ (°)  intensity
0 1 1  13.4  26
1 1 2  22.4  23
1 2 1  25.9  55
0 1 3  26.3  31
2 1 1  26.5  100
2 2 0  31.7  38
2 3 1  41.2  28
0 1 5  41.9  33
0 4 0  44.3  21
2 2 4  45.6  76

Structure:
```
data_CeTmAgS4
_symmetry_space_group_name_H-M 'I m m a'
_symmetry_Int_Tables_number 74
_symmetry_space_group_name_Hall '-I 2b 2'
_cell_length_a 7.8099
_cell_length_b 8.1735
_cell_length_c 11.1929
_cell_angle_alpha 90.00
_cell_angle_beta 90.00
_cell_angle_gamma 90.00
loop_
_atom_site_label
_atom_site_fract_x
_atom_site_fract_y
_atom_site_fract_z
_atom_site_occupancy
Ce1 0.0000 0.0000 0.0000 1
Tm1 0.2500 0.2500 0.2500 1
Ag1 0.0000 0.2500 0.6341 1
S1 0.0000 0.0210 0.2431 1
S2 0.2352 0.2500 0.0082 1
```

For CsDyGeO4, a DFT-relaxed cell (PBE, Alexandria) gives the theoretical X-ray diffraction stick pattern in this record (λ = 1.5418 Å (Cu Kα)).
Intensities are scaled so that the largest is 100.

Peak list (10 most intense, 2θ from 10° to 90°, sorted by position)
h k l  2θ (°)  intensity
0 0 1  11.5  82
1 1 0  22.0  100
1 0 1  22.7  43
0 0 2  23.1  45
0 1 2  27.5  81
1 1 -2  28.0  87
0 2 0  29.9  89
1 1 2  35.8  51
2 1 -2  36.8  44
2 2 0  44.8  40

Structure:
```
data_CsDyGeO4
_symmetry_space_group_name_H-M 'P 1 21/m 1'
_symmetry_Int_Tables_number 11
_cell_length_a 5.7932
_cell_length_b 5.9857
_cell_length_c 8.1329
_cell_angle_alpha 90.00
_cell_angle_beta 108.77
_cell_angle_gamma 90.00
loop_
_symmetry_equiv_pos_as_xyz
'x,y,z'
'-x,-y,-z'
'-x,y+1/2,-z'
'x,-y+1/2,z'
loop_
_atom_site_label
_atom_site_fract_x
_atom_site_fract_y
_atom_site_fract_z
_atom_site_occupancy
Cs1 0.1946 0.2500 0.4332 1
Dy1 0.2986 0.2500 0.9645 1
Ge1 0.2429 0.7500 0.1465 1
O1 0.0260 0.7500 0.9360 1
O2 0.0560 0.7500 0.2806 1
O3 0.4559 0.5253 0.1617 1
```

For Ac3Sn2Ir3, a DFT-relaxed cell (PBE, Alexandria) gives the theoretical X-ray diffraction stick pattern in this record (λ = 1.5418 Å (Cu Kα)).
Intensities are scaled so that the largest is 100.

Peak list (10 most intense, 2θ from 10° to 90°, sorted by position)
h k l  2θ (°)  intensity
1 1 0  20.5  19
0 0 2  28.5  37
2 1 0  31.6  17
2 1 1  34.8  100
1 1 2  35.4  76
3 0 0  36.0  57
3 1 1  46.0  31
2 1 3  54.6  28
4 2 1  67.9  16
3 0 4  71.1  23

Structure:
```
data_Ac3Sn2Ir3
_symmetry_space_group_name_H-M 'P 63/m c m'
_symmetry_Int_Tables_number 193
_symmetry_space_group_name_Hall '-P 6c 2'
_cell_length_a 8.6527
_cell_length_b 8.6527
_cell_length_c 6.2611
_cell_angle_alpha 90.00
_cell_angle_beta 90.00
_cell_angle_gamma 120.00
loop_
_atom_site_label
_atom_site_fract_x
_atom_site_fract_y
_atom_site_fract_z
_atom_site_occupancy
Ac1 0.0000 0.2720 0.2500 1
Sn1 0.3333 0.6667 0.0000 1
Ir1 0.0000 0.3984 0.7500 1
```

For Dy8Co2Ag, a DFT-relaxed cell (PBE, Alexandria) gives the theoretical X-ray diffraction stick pattern in this record (λ = 1.5418 Å (Cu Kα)).
Intensities are scaled so that the largest is 100.

Peak list (10 most intense, 2θ from 10° to 90°, sorted by position)
h k l  2θ (°)  intensity
1 3 -1  27.3  29
2 2 -1  27.7  25
2 0 1  30.8  82
0 4 1  32.6  100
1 1 -2  33.5  58
3 1 -1  33.8  84
2 4 0  35.6  72
3 3 0  39.3  61
2 4 2  53.9  31
2 8 1  66.6  24

Structure:
```
data_Dy8Co2Ag
_symmetry_space_group_name_H-M 'C 1 2/m 1'
_symmetry_Int_Tables_number 12
_cell_length_a 8.4193
_cell_length_b 12.8319
_cell_length_c 5.4932
_cell_angle_alpha 90.00
_cell_angle_beta 104.56
_cell_angle_gamma 90.00
loop_
_symmetry_equiv_pos_as_xyz
'x,y,z'
'-x,-y,-z'
'-x,y,-z'
'x,-y,z'
'x+1/2,y+1/2,z'
'-x+1/2,-y+1/2,-z'
'-x+1/2,y+1/2,-z'
'x+1/2,-y+1/2,z'
loop_
_atom_site_label
_atom_site_fract_x
_atom_site_fract_y
_atom_site_fract_z
_atom_site_occupancy
Dy1 0.0000 0.2423 0.0000 1
Dy2 0.1175 0.5000 0.8036 1
Dy3 0.2021 0.1306 0.5833 1
Co1 0.0000 0.3033 0.5000 1
Ag1 0.0000 0.0000 0.0000 1
```

For Ca3In2Pd6, a DFT-relaxed cell (PBE, Alexandria) gives the theoretical X-ray diffraction stick pattern in this record (λ = 1.5418 Å (Cu Kα)).
Intensities are scaled so that the largest is 100.

Peak list (10 most intense, 2θ from 10° to 90°, sorted by position)
h k l  2θ (°)  intensity
1 1 0  12.8  56
2 0 0  18.1  16
2 1 1  22.2  14
3 2 1  34.2  27
3 3 0  38.9  100
4 2 0  41.1  39
4 2 2  45.3  24
6 2 2  62.8  14
6 3 3  70.5  31
6 6 0  83.6  18

Structure:
```
data_Ca3In2Pd6
_symmetry_space_group_name_H-M 'I m -3 m'
_symmetry_Int_Tables_number 229
_symmetry_space_group_name_Hall '-I 4 2 3'
_cell_length_a 9.8130
_cell_length_b 9.8130
_cell_length_c 9.8130
_cell_angle_alpha 90.00
_cell_angle_beta 90.00
_cell_angle_gamma 90.00
loop_
_atom_site_label
_atom_site_fract_x
_atom_site_fract_y
_atom_site_fract_z
_atom_site_occupancy
Ca1 0.0000 0.0000 0.3051 1
In1 0.2500 0.2500 0.2500 1
Pd1 0.0000 0.3349 0.3349 1
```

For Pa2CuN2O2, a DFT-relaxed cell (PBE, Alexandria) gives the theoretical X-ray diffraction stick pattern in this record (λ = 1.5418 Å (Cu Kα)).
Intensities are scaled so that the largest is 100.

Peak list (10 most intense, 2θ from 10° to 90°, sorted by position)
h k l  2θ (°)  intensity
0 0 1  10.2  33
1 0 1  29.2  100
0 0 3  30.8  25
0 1 2  34.3  53
1 1 0  48.2  29
1 0 4  50.4  26
0 2 1  57.3  16
1 1 3  58.3  25
0 1 5  60.2  13
2 1 1  78.0  13

Structure:
```
data_Pa2CuN2O2
_symmetry_space_group_name_H-M 'P -3 m 1'
_symmetry_Int_Tables_number 164
_symmetry_space_group_name_Hall '-P 3 2"'
_cell_length_a 3.7793
_cell_length_b 3.7793
_cell_length_c 8.6983
_cell_angle_alpha 90.00
_cell_angle_beta 90.00
_cell_angle_gamma 120.00
loop_
_atom_site_label
_atom_site_fract_x
_atom_site_fract_y
_atom_site_fract_z
_atom_site_occupancy
Pa1 0.3333 0.6667 0.1708 1
Cu1 0.0000 0.0000 0.5000 1
N1 0.3333 0.6667 0.9083 1
O1 0.0000 0.0000 0.2888 1
```

For Sc2Zn16Pt, a DFT-relaxed cell (PBE, Alexandria) gives the theoretical X-ray diffraction stick pattern in this record (λ = 1.5418 Å (Cu Kα)).
Intensities are scaled so that the largest is 100.

Peak list (10 most intense, 2θ from 10° to 90°, sorted by position)
h k l  2θ (°)  intensity
1 0 1  13.4  71
3 0 0  35.1  42
0 2 4  36.2  37
2 2 0  40.8  70
0 3 3  41.0  74
0 0 6  41.5  26
2 0 5  41.9  40
2 2 3  46.0  100
1 1 6  46.5  39
6 0 0  74.2  24

Structure:
```
data_Sc2Zn16Pt
_symmetry_space_group_name_H-M 'R 3 m'
_symmetry_Int_Tables_number 160
_symmetry_space_group_name_Hall 'R 3 -2"'
_cell_length_a 8.8494
_cell_length_b 8.8494
_cell_length_c 13.0536
_cell_angle_alpha 90.00
_cell_angle_beta 90.00
_cell_angle_gamma 120.00
loop_
_atom_site_label
_atom_site_fract_x
_atom_site_fract_y
_atom_site_fract_z
_atom_site_occupancy
Sc1 0.0000 0.0000 0.0000 1
Sc2 0.0000 0.0000 0.3374 1
Zn1 0.0000 0.0000 0.5696 1
Zn2 0.0008 0.2984 0.6733 1
Zn3 0.0013 0.5007 0.1722 1
Zn4 0.0181 0.5091 0.8223 1
Zn5 0.1691 0.3382 0.8566 1
Pt1 0.0000 0.0000 0.7742 1
```

For HoGa4Ni3, a DFT-relaxed cell (PBE, Alexandria) gives the theoretical X-ray diffraction stick pattern in this record (λ = 1.5418 Å (Cu Kα)).
Intensities are scaled so that the largest is 100.

Peak list (10 most intense, 2θ from 10° to 90°, sorted by position)
h k l  2θ (°)  intensity
1 0 2  31.9  84
1 1 1  33.3  98
1 1 2  39.0  99
1 0 3  41.3  29
2 0 0  44.7  100
1 1 3  47.2  37
1 0 4  52.1  34
2 1 2  55.9  33
2 2 0  65.1  31
2 1 4  71.1  26

Structure:
```
data_HoGa4Ni3
_symmetry_space_group_name_H-M 'P 4/m m m'
_symmetry_Int_Tables_number 123
_symmetry_space_group_name_Hall '-P 4 2'
_cell_length_a 4.0545
_cell_length_b 4.0545
_cell_length_c 7.7840
_cell_angle_alpha 90.00
_cell_angle_beta 90.00
_cell_angle_gamma 90.00
loop_
_atom_site_label
_atom_site_fract_x
_atom_site_fract_y
_atom_site_fract_z
_atom_site_occupancy
Ho1 0.0000 0.0000 0.0000 1
Ga1 0.0000 0.5000 0.3207 1
Ni1 0.0000 0.0000 0.5000 1
Ni2 0.5000 0.5000 0.1472 1
```

For MnAl2Pt3, a DFT-relaxed cell (PBE, Alexandria) gives the theoretical X-ray diffraction stick pattern in this record (λ = 1.5418 Å (Cu Kα)).
Intensities are scaled so that the largest is 100.

Peak list (10 most intense, 2θ from 10° to 90°, sorted by position)
h k l  2θ (°)  intensity
0 0 3  26.2  35
1 0 0  30.3  51
1 0 3  40.4  100
1 1 0  43.3  43
1 1 3  51.3  23
2 0 0  63.0  25
2 0 3  69.4  10
1 1 6  71.5  26
2 1 3  77.5  30
2 0 6  87.4  10

Structure:
```
data_MnAl2Pt3
_symmetry_space_group_name_H-M 'P 4/m m m'
_symmetry_Int_Tables_number 123
_symmetry_space_group_name_Hall '-P 4 2'
_cell_length_a 2.9531
_cell_length_b 2.9531
_cell_length_c 10.2138
_cell_angle_alpha 90.00
_cell_angle_beta 90.00
_cell_angle_gamma 90.00
loop_
_atom_site_label
_atom_site_fract_x
_atom_site_fract_y
_atom_site_fract_z
_atom_site_occupancy
Mn1 0.0000 0.0000 0.0000 1
Al1 0.0000 0.0000 0.3352 1
Pt1 0.5000 0.5000 0.1804 1
Pt2 0.5000 0.5000 0.5000 1
```

For BaSrEu4O8, a DFT-relaxed cell (PBE, Alexandria) gives the theoretical X-ray diffraction stick pattern in this record (λ = 1.5418 Å (Cu Kα)).
Intensities are scaled so that the largest is 100.

Peak list (10 most intense, 2θ from 10° to 90°, sorted by position)
h k l  2θ (°)  intensity
0 4 0  28.8  48
0 2 3  29.4  100
1 2 1  30.3  77
1 0 2  30.5  38
1 4 2  42.4  41
1 0 4  43.0  22
0 6 3  51.4  17
1 6 1  52.0  17
1 4 4  52.6  20
2 2 3  60.5  27

Structure:
```
data_BaSrEu4O8
_symmetry_space_group_name_H-M 'P m c 21'
_symmetry_Int_Tables_number 26
_cell_length_a 3.5408
_cell_length_b 12.3961
_cell_length_c 10.4603
_cell_angle_alpha 90.00
_cell_angle_beta 90.00
_cell_angle_gamma 90.00
loop_
_symmetry_equiv_pos_as_xyz
'x,y,z'
'-x,-y,z+1/2'
'-x,y,z'
'x,-y,z+1/2'
loop_
_atom_site_label
_atom_site_fract_x
_atom_site_fract_y
_atom_site_fract_z
_atom_site_occupancy
Ba1 0.0000 0.1007 0.0000 1
Sr1 0.5000 0.3978 0.5076 1
Eu1 0.0000 0.1419 0.3294 1
Eu2 0.0000 0.3621 0.8297 1
Eu3 0.5000 0.1427 0.6725 1
Eu4 0.5000 0.3677 0.1782 1
O1 0.0000 0.0336 0.7360 1
O2 0.0000 0.2715 0.6257 1
O3 0.0000 0.3337 0.3319 1
O4 0.0000 0.4326 0.0382 1
O5 0.5000 0.0800 0.4639 1
O6 0.5000 0.1790 0.1813 1
O7 0.5000 0.2351 0.8731 1
O8 0.5000 0.4617 0.7578 1
```

For PmEr8Th4, a DFT-relaxed cell (PBE, Alexandria) gives the theoretical X-ray diffraction stick pattern in this record (λ = 1.5418 Å (Cu Kα)).
Intensities are scaled so that the largest is 100.

Peak list (10 most intense, 2θ from 10° to 90°, sorted by position)
h k l  2θ (°)  intensity
0 2 1  28.2  25
0 0 9  30.4  32
0 2 4  31.2  100
2 0 5  32.8  48
2 0 8  39.3  31
2 2 0  49.6  30
0 2 13  53.5  19
2 2 9  59.3  25
4 0 4  59.8  14
2 2 18  84.4  10

Structure:
```
data_PmEr8Th4
_symmetry_space_group_name_H-M 'R -3 m'
_symmetry_Int_Tables_number 166
_symmetry_space_group_name_Hall '-R 3 2"'
_cell_length_a 7.3497
_cell_length_b 7.3497
_cell_length_c 26.4486
_cell_angle_alpha 90.00
_cell_angle_beta 90.00
_cell_angle_gamma 120.00
loop_
_atom_site_label
_atom_site_fract_x
_atom_site_fract_y
_atom_site_fract_z
_atom_site_occupancy
Pm1 0.0000 0.0000 0.0000 1
Er1 0.0000 0.0000 0.2787 1
Er2 0.0415 0.5208 0.2703 1
Th1 0.0000 0.0000 0.5000 1
Th2 0.0000 0.5000 0.5000 1
```